# 1
This entry pairs a crystal structure of CeGaBi with its computed powder diffraction line list. Radiation: CuKα. Structure: the PBE geometry in Alexandria.
Lines closer than 0.1° are merged.

Structural model:
```
data_CeGaBi
_symmetry_space_group_name_H-M 'P 3 m 1'
_symmetry_Int_Tables_number 156
_symmetry_space_group_name_Hall 'P 3 -2"'
_cell_length_a 4.7825
_cell_length_b 4.7825
_cell_length_c 4.2476
_cell_angle_alpha 90.00
_cell_angle_beta 90.00
_cell_angle_gamma 120.00
loop_
_atom_site_label
_atom_site_type_symbol
_atom_site_fract_x
_atom_site_fract_y
_atom_site_fract_z
Ce1 Ce 0.0000 0.0000 0.0000
Ga1 Ga 0.3333 0.6667 0.3276
Bi1 Bi 0.6667 0.3333 0.5461
```

Top 10 peaks for 10° ≤ 2θ ≤ 80°, most intense first:
2θ/deg	Rel. int.	h k l
30.14	100.0	0 1 1
37.62	50.6	1 1 0
48.93	26.5	2 0 1
63.31	24.7	1 2 1
48.15	18.1	1 0 2
21.45	15.2	1 0 0
58.09	12.7	1 1 2
75.44	9.7	2 1 2
67.89	9.1	3 0 0
62.66	8.3	0 2 2

# 2
This entry pairs a crystal structure of Ce8GeBi5 with its computed powder diffraction line list. Radiation: CuKα. Structure: the PBE geometry in Alexandria.
Lines closer than 0.1° are merged.

Structural model:
```
data_Ce8GeBi5
_symmetry_space_group_name_H-M 'I -4'
_symmetry_Int_Tables_number 82
_symmetry_space_group_name_Hall 'I -4'
_cell_length_a 9.5738
_cell_length_b 9.5738
_cell_length_c 9.5651
_cell_angle_alpha 90.00
_cell_angle_beta 90.00
_cell_angle_gamma 90.00
loop_
_atom_site_label
_atom_site_type_symbol
_atom_site_fract_x
_atom_site_fract_y
_atom_site_fract_z
Ce1 Ce 0.0700 0.1710 0.2895
Ce2 Ce 0.0750 0.3056 0.9540
Ge1 Ge 0.0000 0.0000 0.0000
Bi1 Bi 0.0000 0.5000 0.2500
Bi2 Bi 0.1188 0.2543 0.6204
```

Top 10 peaks for 10° ≤ 2θ ≤ 80°, most intense first:
2θ/deg	Rel. int.	h k l
29.51	100.0	3 1 0
35.08	69.5	1 2 3
59.54	30.3	6 1 1
48.50	19.2	4 1 3
42.23	18.7	4 2 0
72.58	18.5	3 3 6
62.93	14.6	5 4 1
44.40	13.6	3 2 3
22.76	13.2	1 1 2
46.48	13.0	4 2 2

# 3
This entry pairs a crystal structure of CeGeBi with its computed powder diffraction line list. Radiation: CuKα. Structure: the PBE geometry in Alexandria.
Lines closer than 0.1° are merged.

Structural model:
```
data_CeGeBi
_symmetry_space_group_name_H-M 'C m c m'
_symmetry_Int_Tables_number 63
_symmetry_space_group_name_Hall '-C 2c 2'
_cell_length_a 4.5455
_cell_length_b 16.7862
_cell_length_c 4.2377
_cell_angle_alpha 90.00
_cell_angle_beta 90.00
_cell_angle_gamma 90.00
loop_
_atom_site_label
_atom_site_type_symbol
_atom_site_fract_x
_atom_site_fract_y
_atom_site_fract_z
Ce1 Ce 0.0000 0.0945 0.2500
Ge1 Ge 0.0000 0.4509 0.2500
Bi1 Bi 0.0000 0.2521 0.7500
```

Top 10 peaks for 10° ≤ 2θ ≤ 80°, most intense first:
2θ/deg	Rel. int.	h k l
33.04	100.0	1 3 1
39.64	21.1	2 0 0
31.99	21.0	0 6 0
10.54	16.5	0 2 0
67.79	13.7	3 3 1
42.67	13.6	0 0 2
51.83	11.0	2 6 0
57.68	10.9	1 9 1
72.01	10.8	1 3 3
59.66	10.2	2 0 2

# 4
This entry pairs a crystal structure of Ce6Bi2H with its computed powder diffraction line list. Radiation: CuKα. Structure: the PBE geometry in Alexandria.
Lines closer than 0.1° are merged.

Structural model:
```
data_Ce6Bi2H
_symmetry_space_group_name_H-M 'C 1 2/m 1'
_symmetry_Int_Tables_number 12
_symmetry_space_group_name_Hall '-C 2y'
_cell_length_a 11.8906
_cell_length_b 6.8684
_cell_length_c 5.6239
_cell_angle_alpha 90.00
_cell_angle_beta 90.13
_cell_angle_gamma 90.00
loop_
_atom_site_label
_atom_site_type_symbol
_atom_site_fract_x
_atom_site_fract_y
_atom_site_fract_z
Ce1 Ce 0.0862 0.2425 0.2584
Ce2 Ce 0.1718 0.5000 0.7403
Bi1 Bi 0.1664 0.0000 0.7557
H1 H 0.0000 0.5000 0.0000
```

Top 10 peaks for 10° ≤ 2θ ≤ 80°, most intense first:
2θ/deg	Rel. int.	h k l
34.11	100.0	2 2 1
31.82	26.6	0 0 2
30.05	23.2	4 0 0
53.37	18.7	6 2 0
58.16	18.2	2 2 3
63.46	14.6	0 4 2
64.86	13.0	4 4 -1
44.32	13.0	2 2 -2
63.56	7.3	6 2 2
58.25	3.6	4 0 3

# 5
This entry pairs a crystal structure of Ce7Bi4H4 with its computed powder diffraction line list. Radiation: CuKα. Structure: the PBE geometry in Alexandria.
Lines closer than 0.1° are merged.

Structural model:
```
data_Ce7Bi4H4
_symmetry_space_group_name_H-M 'I 4/m m m'
_symmetry_Int_Tables_number 139
_symmetry_space_group_name_Hall '-I 4 2'
_cell_length_a 15.1828
_cell_length_b 15.1828
_cell_length_c 6.2918
_cell_angle_alpha 90.00
_cell_angle_beta 90.00
_cell_angle_gamma 90.00
loop_
_atom_site_label
_atom_site_type_symbol
_atom_site_fract_x
_atom_site_fract_y
_atom_site_fract_z
Ce1 Ce 0.0000 0.0000 0.2486
Ce2 Ce 0.0000 0.2953 0.0000
Ce3 Ce 0.0000 0.4096 0.5000
Ce4 Ce 0.2061 0.2061 0.5000
Bi1 Bi 0.0000 0.1982 0.5000
Bi2 Bi 0.1438 0.1438 0.0000
H1 H 0.1178 0.3822 0.2500
```

Top 10 peaks for 10° ≤ 2θ ≤ 80°, most intense first:
2θ/deg	Rel. int.	h k l
32.75	100.0	5 0 1
28.37	36.3	0 0 2
53.07	25.9	5 0 3
34.07	25.4	3 1 2
18.48	13.8	3 1 0
35.47	13.6	6 0 0
24.88	12.6	3 3 0
58.72	10.0	0 0 4
42.08	9.4	5 5 0
40.66	9.2	5 4 1

# 6
This entry pairs a crystal structure of Ce3Bi2H2 with its computed powder diffraction line list. Radiation: CuKα. Structure: the PBE geometry in Alexandria.
Lines closer than 0.1° are merged.

Structural model:
```
data_Ce3Bi2H2
_symmetry_space_group_name_H-M 'C m c m'
_symmetry_Int_Tables_number 63
_symmetry_space_group_name_Hall '-C 2c 2'
_cell_length_a 4.1067
_cell_length_b 20.7174
_cell_length_c 7.9184
_cell_angle_alpha 90.00
_cell_angle_beta 90.00
_cell_angle_gamma 90.00
loop_
_atom_site_label
_atom_site_type_symbol
_atom_site_fract_x
_atom_site_fract_y
_atom_site_fract_z
Ce1 Ce 0.0000 0.0843 0.0381
Ce2 Ce 0.0000 0.3022 0.2500
Bi1 Bi 0.0000 0.3212 0.7500
Bi2 Bi 0.0000 0.4734 0.2500
H1 H 0.0000 0.1762 0.6126
```

Top 10 peaks for 10° ≤ 2θ ≤ 80°, most intense first:
2θ/deg	Rel. int.	h k l
31.69	100.0	1 1 2
30.65	83.6	1 5 0
34.46	47.0	0 6 2
44.11	30.4	2 0 0
32.72	27.9	1 5 1
38.30	22.4	0 4 3
56.15	22.4	1 5 4
57.14	22.4	2 6 2
22.46	17.5	0 0 2
28.37	17.3	0 4 2